(1)
For DyPa6Se8, a PBE-relaxed structure gives the simulated X-ray powder pattern in this record (Cu Kα, 1.54184 Å).

Principal peaks in the range 2θ from 10° to 90°, most intense first:
d [Å]  two_theta  intensity  index
2.861  31.26  100  4 0 0
2.023  44.80  75  4 4 0
1.279  74.10  34  8 4 0
3.304  26.99  31  2 2 2
1.652  55.64  26  4 4 4
1.168  82.60  26  8 4 4
1.725  53.08  16  6 2 2
1.431  65.22  12  8 0 0
5.722  15.49  9  2 0 0
4.046  21.97  9  2 2 0

Structure:
```
data_DyPa6Se8
_chemical_formula_sum 'Dy4 Pa24 Se32'
_cell_length_a 11.444
_cell_length_b 11.444
_cell_length_c 11.444
_cell_angle_alpha 90.00
_cell_angle_beta 90.00
_cell_angle_gamma 90.00
_symmetry_space_group_name_H-M 'F m -3 m'
_symmetry_Int_Tables_number 225
_symmetry_space_group_name_Hall '-F 4 2 3'
loop_
_atom_site_label
_atom_site_type_symbol
_atom_site_fract_x
_atom_site_fract_y
_atom_site_fract_z
Dy1 Dy 0.000 0.000 0.000
Pa1 Pa 0.000 0.250 0.250
Se1 Se 0.000 0.000 0.257
Se2 Se 0.250 0.250 0.250
```


(2)
For Dy2PaSi6, a PBE-relaxed structure gives the simulated X-ray powder pattern in this record (Cu Kα, 1.54184 Å).

Principal peaks in the range 2θ from 10° to 90°, most intense first:
d [Å]  two_theta  intensity  index
2.627  34.13  100  1 1 1
3.523  25.28  56  1 1 0
2.034  44.54  31  3 0 0
1.608  57.28  23  2 2 1
1.262  75.33  21  4 1 1
1.416  65.99  19  3 0 2
3.943  22.55  16  0 0 1
1.721  53.24  15  1 1 2
1.808  50.48  12  3 0 1
1.104  88.62  10  4 1 2

Structure:
```
data_Dy2PaSi6
_chemical_formula_sum 'Dy2 Pa1 Si6'
_cell_length_a 7.0464
_cell_length_b 7.0464
_cell_length_c 3.9434
_cell_angle_alpha 90.00
_cell_angle_beta 90.00
_cell_angle_gamma 120.00
_symmetry_space_group_name_H-M 'P 6/m m m'
_symmetry_Int_Tables_number 191
_symmetry_space_group_name_Hall '-P 6 2'
loop_
_atom_site_label
_atom_site_type_symbol
_atom_site_fract_x
_atom_site_fract_y
_atom_site_fract_z
Dy1 Dy 0.3333 0.6667 0.0000
Pa1 Pa 0.0000 0.0000 0.0000
Si1 Si 0.0000 0.3323 0.5000
```


(3)
For Tb2DyPaTc2, a PBE-relaxed structure gives the simulated X-ray powder pattern in this record (Cu Kα, 1.54184 Å).

Principal peaks in the range 2θ from 10° to 90°, most intense first:
d [Å]  two_theta  intensity  index
2.354  38.23  100  2 0 2
3.018  29.60  86  2 2 0
2.986  29.92  83  0 2 2
2.793  32.05  71  1 4 1
2.394  37.57  41  0 4 2
6.938  12.76  39  0 2 0
2.410  37.31  37  2 4 0
2.076  43.60  28  1 6 1
1.654  55.56  21  0 0 4
6.036  14.68  21  1 1 0

Structure:
```
data_Tb2DyPaTc2
_chemical_formula_sum 'Tb8 Dy4 Pa4 Tc8'
_cell_length_a 6.703
_cell_length_b 13.876
_cell_length_c 6.617
_cell_angle_alpha 90.00
_cell_angle_beta 90.00
_cell_angle_gamma 90.00
_symmetry_space_group_name_H-M 'I b a m'
_symmetry_Int_Tables_number 72
_symmetry_space_group_name_Hall '-I 2 2c'
loop_
_atom_site_label
_atom_site_type_symbol
_atom_site_fract_x
_atom_site_fract_y
_atom_site_fract_z
Tb1 Tb 0.232 0.191 0.000
Dy1 Dy 0.000 0.500 0.250
Pa1 Pa 0.000 0.000 0.250
Tc1 Tc 0.204 0.105 0.500
```